1.
Th2TaFe9: theoretical X-ray diffraction stick pattern (a wavelength of 1.5418 Å), based on the PBE geometry in Alexandria.
No peak broadening, texture or thermal motion is included.

Main lines, sorted by position (10 to 90 degrees two-theta):
21.09°, 4.212 Å, I = 31, hkl 1 0 1
32.49°, 2.756 Å, I = 57, hkl 1 0 7
35.37°, 2.538 Å, I = 45, hkl 0 1 8
36.42°, 2.467 Å, I = 53, hkl 1 1 0
42.47°, 2.128 Å, I = 100, hkl 1 1 6
44.82°, 2.022 Å, I = 23, hkl 0 1 11
63.07°, 1.474 Å, I = 18, hkl 2 1 7
64.87°, 1.437 Å, I = 22, hkl 1 2 8
69.70°, 1.349 Å, I = 15, hkl 0 3 6
77.36°, 1.233 Å, I = 16, hkl 2 2 0

abc: 4.9339 4.9339 25.2384
angles: 90.00 90.00 120.00
Space group R-3m (No. 166, hexagonal axes)
Unique sites:
Th 0.0000 0.0000 0.1381 x6
Ta 0.0000 0.0000 0.0000 x3
Fe 0.0000 0.0000 0.3326 x6
Fe 0.0000 0.0000 0.5000 x3
Fe 0.0015 0.5008 0.0785 x18


2.
TaTiFe4: theoretical X-ray diffraction stick pattern (a wavelength of 1.5418 Å), based on the PBE geometry in Alexandria.
No peak broadening, texture or thermal motion is included.

Main lines, sorted by position (10 to 90 degrees two-theta):
11.32°, 7.814 Å, I = 79, hkl 0 0 1
24.56°, 3.625 Å, I = 27, hkl 0 1 1
31.66°, 2.826 Å, I = 34, hkl 0 1 2
38.09°, 2.363 Å, I = 54, hkl 1 1 0
39.86°, 2.261 Å, I = 26, hkl 1 1 1
41.08°, 2.197 Å, I = 100, hkl 0 1 3
44.83°, 2.022 Å, I = 92, hkl 1 1 2
45.85°, 1.979 Å, I = 72, hkl 2 0 1
70.86°, 1.330 Å, I = 35, hkl 1 2 3
76.75°, 1.242 Å, I = 30, hkl 0 2 5

abc: 4.7251 4.7251 7.8135
angles: 90.00 90.00 120.00
Space group P-3m1 (No. 164)
Unique sites:
Ta 0.3333 0.6667 0.4298 x2
Ti 0.3333 0.6667 0.0611 x2
Fe 0.0000 0.0000 0.0000 x1
Fe 0.0000 0.0000 0.5000 x1
Fe 0.1707 0.3414 0.7514 x6


3.
Ta2Ti4Fe: theoretical X-ray diffraction stick pattern (a wavelength of 1.5418 Å), based on the PBE geometry in Alexandria.
No peak broadening, texture or thermal motion is included.

Main lines, sorted by position (10 to 90 degrees two-theta):
21.54°, 4.125 Å, I = 46, hkl 1 0 1
28.36°, 3.147 Å, I = 74, hkl 1 0 3
29.21°, 3.057 Å, I = 100, hkl 1 1 0
38.76°, 2.323 Å, I = 59, hkl 1 0 5
39.42°, 2.286 Å, I = 89, hkl 1 1 4
41.78°, 2.162 Å, I = 80, hkl 2 0 0
51.27°, 1.782 Å, I = 30, hkl 2 1 3
58.31°, 1.583 Å, I = 35, hkl 2 1 5
60.57°, 1.529 Å, I = 26, hkl 2 2 0
74.70°, 1.271 Å, I = 27, hkl 3 1 4

abc: 4.3236 4.3236 13.7715
angles: 90.00 90.00 90.00
Space group I4/mmm (No. 139)
Unique sites:
Ta 0.0000 0.0000 0.1309 x4
Ti 0.0000 0.0000 0.3237 x4
Ti 0.0000 0.5000 0.0000 x4
Fe 0.0000 0.0000 0.5000 x2


4.
Tm3TaFe8: theoretical X-ray diffraction stick pattern (a wavelength of 1.5418 Å), based on the PBE geometry in Alexandria.
No peak broadening, texture or thermal motion is included.

Main lines, sorted by position (10 to 90 degrees two-theta):
21.70°, 4.095 Å, I = 21, hkl 0 1 2
35.80°, 2.508 Å, I = 72, hkl 1 1 0
42.26°, 2.139 Å, I = 100, hkl 1 0 10
44.23°, 2.048 Å, I = 12, hkl 0 2 4
56.55°, 1.627 Å, I = 6, hkl 0 2 10
64.34°, 1.448 Å, I = 26, hkl 1 0 16
68.76°, 1.365 Å, I = 30, hkl 2 1 10
75.87°, 1.254 Å, I = 22, hkl 2 2 0
80.03°, 1.199 Å, I = 5, hkl 1 1 18
86.84°, 1.122 Å, I = 12, hkl 2 1 16

abc: 5.0160 5.0160 24.5714
angles: 90.00 90.00 120.00
Space group R3m (No. 160, hexagonal axes)
Unique sites:
Tm 0.0000 0.0000 0.0000 x3
Tm 0.0000 0.0000 0.1255 x3
Tm 0.0000 0.0000 0.6243 x3
Ta 0.0000 0.0000 0.5002 x3
Fe 0.0000 0.0000 0.3128 x3
Fe 0.0000 0.0000 0.8129 x3
Fe 0.0035 0.5017 0.0653 x9
Fe 0.1676 0.3352 0.8935 x9


5.
TaV6Fe2: theoretical X-ray diffraction stick pattern (a wavelength of 1.5418 Å), based on the PBE geometry in Alexandria.
No peak broadening, texture or thermal motion is included.

Main lines, sorted by position (10 to 90 degrees two-theta):
11.35°, 7.799 Å, I = 24, hkl 0 0 1
32.10°, 2.789 Å, I = 35, hkl 1 0 2
33.79°, 2.653 Å, I = 34, hkl 1 1 1
39.42°, 2.286 Å, I = 100, hkl 1 1 2
41.46°, 2.178 Å, I = 35, hkl 1 0 3
45.47°, 1.995 Å, I = 61, hkl 2 0 0
52.22°, 1.752 Å, I = 19, hkl 1 0 4
63.21°, 1.471 Å, I = 20, hkl 2 1 3
66.26°, 1.411 Å, I = 18, hkl 2 2 0
79.92°, 1.200 Å, I = 23, hkl 3 1 2

abc: 3.9897 3.9897 7.7995
angles: 90.00 90.00 90.00
Space group P4/mmm (No. 123)
Unique sites:
Ta 0.0000 0.0000 0.0000 x1
V 0.0000 0.0000 0.5000 x1
V 0.0000 0.5000 0.2897 x4
V 0.5000 0.5000 0.5000 x1
Fe 0.5000 0.5000 0.1366 x2


6.
Ta4VFe3: theoretical X-ray diffraction stick pattern (a wavelength of 1.5418 Å), based on the PBE geometry in Alexandria.
No peak broadening, texture or thermal motion is included.

Main lines, sorted by position (10 to 90 degrees two-theta):
28.92°, 3.088 Å, I = 28, hkl 0 1 2
29.06°, 3.073 Å, I = 14, hkl 1 0 0
41.19°, 2.192 Å, I = 20, hkl 0 0 4
41.47°, 2.177 Å, I = 100, hkl 1 1 2
59.92°, 1.544 Å, I = 13, hkl 0 2 4
60.23°, 1.537 Å, I = 7, hkl 2 0 0
68.15°, 1.376 Å, I = 8, hkl 2 1 2
75.25°, 1.263 Å, I = 13, hkl 1 1 6
75.58°, 1.258 Å, I = 7, hkl 2 0 4
75.74°, 1.256 Å, I = 20, hkl 2 2 0

abc: 3.0731 4.3500 8.7666
angles: 90.00 90.00 90.00
Space group Pmmm (No. 47)
Unique sites:
Ta 0.0000 0.0000 0.0000 x1
Ta 0.0000 0.0000 0.5000 x1
Ta 0.0000 0.5000 0.2458 x2
V 0.5000 0.5000 0.5000 x1
Fe 0.5000 0.0000 0.2451 x2
Fe 0.5000 0.5000 0.0000 x1


Which formula does entry 5 have?
TaV6Fe2


Please write out number 3 again, unchanged.
Ta2Ti4Fe: theoretical X-ray diffraction stick pattern (a wavelength of 1.5418 Å), based on the PBE geometry in Alexandria.
No peak broadening, texture or thermal motion is included.

Main lines, sorted by position (10 to 90 degrees two-theta):
21.54°, 4.125 Å, I = 46, hkl 1 0 1
28.36°, 3.147 Å, I = 74, hkl 1 0 3
29.21°, 3.057 Å, I = 100, hkl 1 1 0
38.76°, 2.323 Å, I = 59, hkl 1 0 5
39.42°, 2.286 Å, I = 89, hkl 1 1 4
41.78°, 2.162 Å, I = 80, hkl 2 0 0
51.27°, 1.782 Å, I = 30, hkl 2 1 3
58.31°, 1.583 Å, I = 35, hkl 2 1 5
60.57°, 1.529 Å, I = 26, hkl 2 2 0
74.70°, 1.271 Å, I = 27, hkl 3 1 4

abc: 4.3236 4.3236 13.7715
angles: 90.00 90.00 90.00
Space group I4/mmm (No. 139)
Unique sites:
Ta 0.0000 0.0000 0.1309 x4
Ti 0.0000 0.0000 0.3237 x4
Ti 0.0000 0.5000 0.0000 x4
Fe 0.0000 0.0000 0.5000 x2


Number 2 is which compound?
TaTiFe4